Structure and simulated powder XRD pattern of DyTl3W2O9 (the GGA+U geometry in Alexandria; copper Kα).

Principal peaks in the range 15° ≤ 2θ ≤ 90°, sorted by position:
- 2θ 30.14, intensity 100
- 2θ 30.35, intensity 98
- 2θ 43.31, intensity 52
- 2θ 53.40, intensity 21
- 2θ 53.80, intensity 41
- 2θ 53.93, intensity 20
- 2θ 62.67, intensity 17
- 2θ 63.15, intensity 16
- 2θ 71.21, intensity 18
- 2θ 71.55, intensity 18

Structure:
```
data_DyTl3W2O9
_symmetry_space_group_name_H-M 'P 1'
_symmetry_Int_Tables_number 1
_cell_length_a 5.8892
_cell_length_b 5.8892
_cell_length_c 7.2880
_cell_angle_alpha 90.00
_cell_angle_beta 90.00
_cell_angle_gamma 120.00
loop_
_symmetry_equiv_pos_as_xyz
'x,y,z'
loop_
_atom_site_label
_atom_site_type_symbol
_atom_site_fract_x
_atom_site_fract_y
_atom_site_fract_z
_atom_site_occupancy
Dy1 Dy 0.0000 0.0000 0.0000 1
Tl1 Tl 0.0000 0.0000 0.5000 1
Tl2 Tl 0.3333 0.6667 0.1687 1
Tl3 Tl 0.6667 0.3333 0.8313 1
W1 W 0.3333 0.6667 0.6634 1
W2 W 0.6667 0.3333 0.3366 1
O1 O 0.0000 0.5000 0.5000 1
O2 O 0.1791 0.3581 0.8092 1
O3 O 0.1791 0.8209 0.8092 1
O4 O 0.3581 0.1791 0.1908 1
O5 O 0.5000 0.0000 0.5000 1
O6 O 0.5000 0.5000 0.5000 1
O7 O 0.6419 0.8209 0.8092 1
O8 O 0.8209 0.1791 0.1908 1
O9 O 0.8209 0.6419 0.1908 1
```